# Fe2BAs
Calculated PXRD pattern, Cu Kα, 1.54184 Å. Input: a cell relaxed with PBE.
No peak broadening, texture or thermal motion is included.

The 12 most intense peaks (15 to 90 degrees two-theta), by intensity:
Position (°2θ), Rel. int.
47.19, 100
87.79, 28
36.90, 25
68.96, 14
28.38, 9
71.40, 8
50.25, 8
16.27, 8
80.86, 5
55.99, 4
32.88, 3
76.18, 2

Structural model:
a = 5.447 Å, b = 5.447 Å, c = 5.447 Å
α = 90.00°, β = 90.00°, γ = 90.00°
Sites, in units of the cell vectors:
Fe 0.232 0.232 0.232
Fe 0.232 0.232 0.768
Fe 0.232 0.768 0.232
Fe 0.232 0.768 0.768
Fe 0.768 0.232 0.232
Fe 0.768 0.232 0.768
Fe 0.768 0.768 0.232
Fe 0.768 0.768 0.768
B 0.000 0.000 0.000
B 0.000 0.000 0.500
B 0.000 0.500 0.000
B 0.500 0.000 0.000
As 0.000 0.500 0.500
As 0.500 0.000 0.500
As 0.500 0.500 0.000
As 0.500 0.500 0.500

# NaHoTe
Calculated PXRD pattern, Cu Kα, 1.54184 Å. Input: a cell relaxed with PBE.
No peak broadening, texture or thermal motion is included.

The 12 most intense peaks (15 to 90 degrees two-theta), by intensity:
Position (°2θ), Rel. int.
35.62, 100
21.59, 85
42.03, 45
63.98, 36
56.24, 19
51.26, 18
86.30, 16
68.37, 14
79.54, 14
75.42, 11
24.98, 5
57.84, 2

Structural model:
a = 5.041 Å, b = 5.041 Å, c = 5.041 Å
α = 60.00°, β = 60.00°, γ = 60.00°
Sites, in units of the cell vectors:
Na 0.000 0.000 0.000
Ho 0.500 0.500 0.500
Te 0.750 0.750 0.750

# Zr2B6Pt
Calculated PXRD pattern, Cu Kα, 1.54184 Å. Input: a cell relaxed with PBE.
No peak broadening, texture or thermal motion is included.

The 12 most intense peaks (15 to 90 degrees two-theta), by intensity:
Position (°2θ), Rel. int.
25.32, 100
40.17, 51
42.53, 43
40.69, 41
30.66, 39
41.94, 36
33.60, 34
46.26, 32
31.31, 31
32.88, 27
38.05, 25
18.36, 23

Structural model:
a = 9.049 Å, b = 11.427 Å, c = 3.518 Å
α = 90.00°, β = 90.00°, γ = 90.00°
Sites, in units of the cell vectors:
Zr 0.054 0.130 0.000
Zr 0.188 0.407 0.000
Zr 0.312 0.907 0.000
Zr 0.446 0.630 0.000
Zr 0.554 0.370 0.000
Zr 0.688 0.093 0.000
Zr 0.812 0.593 0.000
Zr 0.946 0.870 0.000
B 0.022 0.286 0.500
B 0.052 0.560 0.500
B 0.101 0.974 0.500
B 0.132 0.822 0.500
B 0.203 0.242 0.500
B 0.246 0.076 0.500
B 0.254 0.576 0.500
B 0.297 0.742 0.500
B 0.368 0.322 0.500
B 0.399 0.474 0.500
B 0.448 0.060 0.500
B 0.478 0.786 0.500
B 0.522 0.214 0.500
B 0.552 0.940 0.500
B 0.601 0.526 0.500
B 0.632 0.678 0.500
B 0.703 0.258 0.500
B 0.746 0.424 0.500
B 0.754 0.924 0.500
B 0.797 0.758 0.500
B 0.868 0.178 0.500
B 0.899 0.026 0.500
B 0.948 0.440 0.500
B 0.978 0.714 0.500
Pt 0.134 0.665 0.000
Pt 0.366 0.165 0.000
Pt 0.634 0.835 0.000
Pt 0.866 0.335 0.000

# KNaAgAs
Calculated PXRD pattern, Cu Kα, 1.54184 Å. Input: a cell relaxed with PBE.
No peak broadening, texture or thermal motion is included.

The 12 most intense peaks (15 to 90 degrees two-theta), by intensity:
Position (°2θ), Rel. int.
18.85, 100
39.03, 58
15.22, 48
34.69, 40
34.38, 40
31.29, 38
43.17, 35
35.90, 34
34.09, 31
44.19, 31
35.03, 29
21.68, 29

Structural model:
a = 5.941 Å, b = 5.773 Å, c = 6.222 Å
α = 90.00°, β = 101.58°, γ = 90.00°
Sites, in units of the cell vectors:
K 0.038 0.000 0.183
K 0.962 0.500 0.817
Na 0.330 0.499 0.483
Na 0.670 0.999 0.517
Ag 0.500 0.250 0.000
Ag 0.500 0.750 0.000
As 0.244 0.000 0.708
As 0.756 0.500 0.292

# RbCoW
Calculated PXRD pattern, Cu Kα, 1.54184 Å. Input: a cell relaxed with PBE.
No peak broadening, texture or thermal motion is included.

The 12 most intense peaks (15 to 90 degrees two-theta), by intensity:
Position (°2θ), Rel. int.
39.49, 100
27.64, 50
71.63, 34
23.88, 29
64.57, 19
57.08, 17
46.67, 15
48.88, 14
85.01, 11
62.75, 6
89.92, 5
76.73, 5

Structural model:
a = 4.564 Å, b = 4.564 Å, c = 4.564 Å
α = 60.00°, β = 60.00°, γ = 60.00°
Sites, in units of the cell vectors:
Rb 0.000 0.000 0.000
Co 0.250 0.250 0.250
W 0.500 0.500 0.500

# Sr3Fe2Pt2
Calculated PXRD pattern, Cu Kα, 1.54184 Å. Input: a cell relaxed with PBE.
No peak broadening, texture or thermal motion is included.

The 12 most intense peaks (15 to 90 degrees two-theta), by intensity:
Position (°2θ), Rel. int.
30.83, 100
42.12, 97
24.43, 74
39.83, 69
26.83, 43
44.71, 32
56.80, 27
35.96, 22
59.35, 22
75.43, 22
53.10, 22
29.35, 19

Structural model:
a = 12.613 Å, b = 12.613 Å, c = 12.613 Å
α = 19.59°, β = 19.59°, γ = 19.59°
Sites, in units of the cell vectors:
Sr 0.000 0.000 0.000
Sr 0.236 0.236 0.236
Sr 0.476 0.476 0.476
Fe 0.079 0.079 0.079
Fe 0.733 0.733 0.733
Pt 0.391 0.391 0.391
Pt 0.859 0.859 0.859

# SmDyBe2Si2
Calculated PXRD pattern, Cu Kα, 1.54184 Å. Input: a cell relaxed with PBE.
No peak broadening, texture or thermal motion is included.

The 12 most intense peaks (15 to 90 degrees two-theta), by intensity:
Position (°2θ), Rel. int.
34.43, 100
26.39, 63
46.58, 26
21.72, 25
59.20, 21
52.28, 20
78.50, 19
66.21, 18
51.95, 16
75.12, 10
44.27, 10
54.33, 9

Structural model:
a = 3.899 Å, b = 3.899 Å, c = 8.184 Å
α = 90.00°, β = 90.00°, γ = 120.00°
Sites, in units of the cell vectors:
Sm 0.000 0.000 0.000
Dy 0.000 0.000 0.500
Be 0.333 0.667 0.255
Be 0.667 0.333 0.745
Si 0.333 0.667 0.744
Si 0.667 0.333 0.256

# Ba2W
Calculated PXRD pattern, Cu Kα, 1.54184 Å. Input: a cell relaxed with PBE.
No peak broadening, texture or thermal motion is included.

The 12 most intense peaks (15 to 90 degrees two-theta), by intensity:
Position (°2θ), Rel. int.
30.44, 100
25.87, 36
48.57, 36
31.82, 31
53.19, 30
74.88, 23
45.63, 16
62.53, 13
86.53, 13
63.33, 13
72.63, 8
60.07, 7

Structural model:
a = 6.888 Å, b = 6.888 Å, c = 6.888 Å
α = 60.00°, β = 60.00°, γ = 60.00°
Sites, in units of the cell vectors:
Ba 0.000 0.000 0.000
Ba 0.000 0.000 0.500
Ba 0.000 0.500 0.000
Ba 0.500 0.000 0.000
W 0.375 0.375 0.375
W 0.625 0.625 0.625

# Ag5Pb2S6
Calculated PXRD pattern, Cu Kα, 1.54184 Å. Input: a cell relaxed with PBE.
No peak broadening, texture or thermal motion is included.

The 12 most intense peaks (15 to 90 degrees two-theta), by intensity:
Position (°2θ), Rel. int.
27.96, 100
28.37, 83
31.59, 58
46.31, 45
25.12, 36
47.58, 32
46.04, 30
44.25, 23
51.55, 22
45.08, 21
29.08, 21
59.89, 19

Structural model:
a = 7.091 Å, b = 7.091 Å, c = 7.326 Å
α = 90.00°, β = 90.00°, γ = 120.00°
Sites, in units of the cell vectors:
Ag 0.000 0.000 0.223
Ag 0.000 0.000 0.777
Ag 0.000 0.500 0.500
Ag 0.500 0.000 0.500
Ag 0.500 0.500 0.500
Pb 0.333 0.667 0.000
Pb 0.667 0.333 0.000
S 0.000 0.346 0.787
S 0.000 0.654 0.213
S 0.346 0.000 0.787
S 0.346 0.346 0.213
S 0.654 0.000 0.213
S 0.654 0.654 0.787

# ZnFe
Calculated PXRD pattern, Cu Kα, 1.54184 Å. Input: a cell relaxed with PBE.
No peak broadening, texture or thermal motion is included.

The 12 most intense peaks (15 to 90 degrees two-theta), by intensity:
Position (°2θ), Rel. int.
42.76, 100
45.73, 23
82.51, 13
47.03, 11
46.86, 8
67.68, 7
67.55, 5
46.23, 5
56.11, 5
75.02, 5
35.95, 4
75.19, 4

Structural model:
a = 5.064 Å, b = 3.968 Å, c = 7.615 Å
α = 90.00°, β = 99.76°, γ = 90.00°
Sites, in units of the cell vectors:
Zn 0.146 0.250 0.080
Zn 0.264 0.750 0.587
Zn 0.353 0.750 0.916
Zn 0.647 0.250 0.084
Zn 0.736 0.250 0.413
Zn 0.854 0.750 0.920
Fe 0.050 0.250 0.729
Fe 0.236 0.250 0.407
Fe 0.442 0.750 0.269
Fe 0.558 0.250 0.731
Fe 0.764 0.750 0.593
Fe 0.950 0.750 0.271

# SmHoS2Br2
Calculated PXRD pattern, Cu Kα, 1.54184 Å. Input: a cell relaxed with PBE.
No peak broadening, texture or thermal motion is included.

The 12 most intense peaks (15 to 90 degrees two-theta), by intensity:
Position (°2θ), Rel. int.
19.07, 100
29.01, 86
44.71, 52
40.20, 46
28.91, 39
33.26, 33
48.22, 23
43.84, 15
78.11, 14
56.12, 14
39.03, 14
52.39, 13

Structural model:
a = 4.130 Å, b = 5.387 Å, c = 9.231 Å
α = 90.00°, β = 90.00°, γ = 90.00°
Sites, in units of the cell vectors:
Sm 0.000 0.000 0.000
Ho 0.500 0.500 0.740
S 0.000 0.500 0.934
S 0.500 0.000 0.794
Br 0.000 0.500 0.530
Br 0.500 0.000 0.219

# TaTl3Se3S
Calculated PXRD pattern, Cu Kα, 1.54184 Å. Input: a cell relaxed with PBE.
No peak broadening, texture or thermal motion is included.

The 12 most intense peaks (15 to 90 degrees two-theta), by intensity:
Position (°2θ), Rel. int.
22.22, 100
31.71, 87
31.54, 78
50.93, 44
51.15, 36
38.92, 36
56.27, 25
45.33, 19
27.25, 18
70.62, 18
70.43, 15
56.59, 15

Structural model:
a = 6.942 Å, b = 6.942 Å, c = 6.942 Å
α = 109.61°, β = 109.61°, γ = 109.61°
Sites, in units of the cell vectors:
Ta 0.000 0.000 0.000
Tl 0.499 0.499 0.995
Tl 0.499 0.995 0.499
Tl 0.995 0.499 0.499
Se 0.001 0.001 0.350
Se 0.001 0.350 0.001
Se 0.350 0.001 0.001
S 0.671 0.671 0.671

Question: Which formula does entry 10 have?
Answer: ZnFe